No. 1
Computed X-ray diffraction stick pattern
Compound: TbGdSe2F2
Radiation: Cu Kα
Structure: a GGA-PBE-relaxed structure
No peak broadening, texture or thermal motion is included.

Peak list (10 most intense, 2θ = 15–90°, by angle)
index  2θ/deg  intensity
0 0 2  25.30  393
1 0 1  26.25  615
1 1 0  32.68  1000
1 0 2  34.41  753
1 1 2  41.77  690
1 0 3  45.16  464
2 0 0  46.88  505
2 0 2  54.01  207
2 1 2  59.44  307
2 1 3  67.13  284

Structural model:
```
data_TbGdSe2F2
_symmetry_space_group_name_H-M 'P 4 m m'
_symmetry_Int_Tables_number 99
_symmetry_space_group_name_Hall 'P 4 -2'
_cell_length_a 3.876
_cell_length_b 3.876
_cell_length_c 7.042
_cell_angle_alpha 90.00
_cell_angle_beta 90.00
_cell_angle_gamma 90.00
loop_
_atom_site_label
_atom_site_fract_x
_atom_site_fract_y
_atom_site_fract_z
Tb1 0.000 0.000 0.000
Gd1 0.500 0.500 0.433
Se1 0.000 0.000 0.576
Se2 0.500 0.500 0.859
F1 0.000 0.500 0.216
```

***

No. 2
Computed X-ray diffraction stick pattern
Compound: TbGaPdPt
Radiation: Cu Kα
Structure: a GGA-PBE-relaxed structure
No peak broadening, texture or thermal motion is included.

Peak list (10 most intense, 2θ = 15–90°, by angle)
index  2θ/deg  intensity
1 0 0  23.36  264
1 0 2  30.52  109
1 0 3  37.74  1000
1 1 0  41.06  712
0 2 3  56.99  304
0 1 6  65.85  115
2 1 3  72.61  295
3 0 0  74.81  121
1 1 6  75.81  123
2 2 0  89.08  80

Structural model:
```
data_TbGaPdPt
_symmetry_space_group_name_H-M 'P -3 m 1'
_symmetry_Int_Tables_number 164
_symmetry_space_group_name_Hall '-P 3 2"'
_cell_length_a 4.3965
_cell_length_b 4.3965
_cell_length_c 9.1703
_cell_angle_alpha 90.00
_cell_angle_beta 90.00
_cell_angle_gamma 120.00
loop_
_atom_site_label
_atom_site_fract_x
_atom_site_fract_y
_atom_site_fract_z
Tb1 0.3333 0.6667 0.2462
Ga1 0.0000 0.0000 0.0000
Ga2 0.0000 0.0000 0.5000
Pd1 0.3333 0.6667 0.5797
Pt1 0.3333 0.6667 0.9141
```

***

No. 3
Computed X-ray diffraction stick pattern
Compound: ZnSe8Cl2
Radiation: Cu Kα
Structure: a GGA-PBE-relaxed structure
No peak broadening, texture or thermal motion is included.

Peak list (10 most intense, 2θ = 15–90°, by angle)
index  2θ/deg  intensity
0 2 1  31.76  1000
2 0 2  31.87  746
0 2 4  32.33  900
2 0 5  32.67  406
0 2 7  33.55  320
1 0 22  37.59  277
1 0 25  42.02  228
0 1 26  43.54  211
2 2 0  56.49  307
4 -2 3  56.70  332

Structural model:
```
data_ZnSe8Cl2
_symmetry_space_group_name_H-M 'R -3'
_symmetry_Int_Tables_number 148
_symmetry_space_group_name_Hall '-R 3'
_cell_length_a 6.5143
_cell_length_b 6.5143
_cell_length_c 58.1311
_cell_angle_alpha 90.00
_cell_angle_beta 90.00
_cell_angle_gamma 120.00
loop_
_atom_site_label
_atom_site_fract_x
_atom_site_fract_y
_atom_site_fract_z
Zn1 0.0000 0.0000 0.0000
Se1 0.0000 0.0000 0.0387
Se2 0.0515 0.5276 0.9802
Cl1 0.0000 0.0000 0.2728
```

***

No. 4
Computed X-ray diffraction stick pattern
Compound: Rb2PdCl4
Radiation: Cu Kα
Structure: a GGA-PBE-relaxed structure
No peak broadening, texture or thermal motion is included.

Peak list (10 most intense, 2θ = 15–90°, by angle)
index  2θ/deg  intensity
1 1 0  23.77  285
0 2 0  24.40  148
1 1 1  26.77  1000
1 2 0  31.98  318
0 2 2  34.77  520
2 0 0  41.42  164
1 3 1  44.42  452
0 4 0  49.99  164
2 2 2  55.16  255
2 4 0  66.88  204

Structural model:
```
data_Rb2PdCl4
_symmetry_space_group_name_H-M 'P m m 2'
_symmetry_Int_Tables_number 25
_symmetry_space_group_name_Hall 'P 2 -2'
_cell_length_a 4.360
_cell_length_b 7.299
_cell_length_c 7.296
_cell_angle_alpha 90.00
_cell_angle_beta 90.00
_cell_angle_gamma 90.00
loop_
_atom_site_label
_atom_site_fract_x
_atom_site_fract_y
_atom_site_fract_z
Rb1 0.000 0.000 0.000
Rb2 0.000 0.500 0.500
Pd1 0.500 0.000 0.499
Cl1 0.500 0.226 0.273
Cl2 0.500 0.226 0.725
```

***

No. 5
Computed X-ray diffraction stick pattern
Compound: Na3TaSe2S2
Radiation: Cu Kα
Structure: a GGA-PBE-relaxed structure
No peak broadening, texture or thermal motion is included.

Peak list (10 most intense, 2θ = 15–90°, by angle)
index  2θ/deg  intensity
0 2 0  17.82  565
1 1 1  17.99  1000
0 2 1  21.94  594
2 0 1  22.24  430
2 2 1  28.63  515
1 3 1  31.25  349
3 1 1  31.67  284
2 2 2  36.45  858
3 1 2  38.93  394
2 2 3  46.99  644

Structural model:
```
data_Na3TaSe2S2
_symmetry_space_group_name_H-M 'C m m 2'
_symmetry_Int_Tables_number 35
_symmetry_space_group_name_Hall 'C 2 -2'
_cell_length_a 9.752
_cell_length_b 9.952
_cell_length_c 6.980
_cell_angle_alpha 90.00
_cell_angle_beta 90.00
_cell_angle_gamma 90.00
loop_
_atom_site_label
_atom_site_fract_x
_atom_site_fract_y
_atom_site_fract_z
Na1 0.000 0.000 0.000
Na2 0.250 0.250 0.520
Ta1 0.000 0.000 0.508
Se1 0.204 0.000 0.308
S1 0.000 0.186 0.700
```

***

No. 6
Computed X-ray diffraction stick pattern
Compound: Dy3Er2Lu2Te2Ir2
Radiation: Cu Kα
Structure: a GGA-PBE-relaxed structure
No peak broadening, texture or thermal motion is included.

Peak list (10 most intense, 2θ = 15–90°, by angle)
index  2θ/deg  intensity
1 3 0  28.50  130
0 5 1  30.21  573
0 3 3  33.39  444
1 4 1  33.78  1000
1 3 2  34.40  414
1 0 3  36.69  244
1 2 3  38.53  285
0 6 2  39.64  116
2 0 0  46.25  276
2 3 3  58.23  248

Structural model:
```
data_Dy3Er2Lu2Te2Ir2
_symmetry_space_group_name_H-M 'I m m 2'
_symmetry_Int_Tables_number 44
_symmetry_space_group_name_Hall 'I 2 -2'
_cell_length_a 3.926
_cell_length_b 15.588
_cell_length_c 9.402
_cell_angle_alpha 90.00
_cell_angle_beta 90.00
_cell_angle_gamma 90.00
loop_
_atom_site_label
_atom_site_fract_x
_atom_site_fract_y
_atom_site_fract_z
Dy1 0.000 0.000 0.000
Dy2 0.000 0.132 0.583
Er1 0.000 0.352 0.731
Lu1 0.000 0.314 0.372
Te1 0.000 0.000 0.335
Te2 0.000 0.500 0.238
Ir1 0.000 0.237 0.070
```

***

No. 7
Computed X-ray diffraction stick pattern
Compound: Na2Hg2Te3
Radiation: Cu Kα
Structure: a GGA-PBE-relaxed structure
No peak broadening, texture or thermal motion is included.

Peak list (10 most intense, 2θ = 15–90°, by angle)
index  2θ/deg  intensity
0 1 2  18.74  517
1 1 0  27.68  268
0 0 6  29.99  466
1 1 3  31.56  1000
0 2 1  32.47  544
2 0 5  41.02  316
3 0 3  51.45  258
1 1 9  54.25  218
2 2 0  57.16  227
2 2 6  65.90  294

Structural model:
```
data_Na2Hg2Te3
_symmetry_space_group_name_H-M 'R -3 m'
_symmetry_Int_Tables_number 166
_symmetry_space_group_name_Hall '-R 3 2"'
_cell_length_a 6.4461
_cell_length_b 6.4461
_cell_length_c 17.8757
_cell_angle_alpha 90.00
_cell_angle_beta 90.00
_cell_angle_gamma 120.00
loop_
_atom_site_label
_atom_site_fract_x
_atom_site_fract_y
_atom_site_fract_z
Na1 0.0000 0.0000 0.0000
Na2 0.0000 0.0000 0.5000
Hg1 0.0000 0.0000 0.1688
Te1 0.0000 0.5000 0.0000
```

***

No. 8
Computed X-ray diffraction stick pattern
Compound: TlCuReS3
Radiation: Cu Kα
Structure: a GGA-PBE-relaxed structure
No peak broadening, texture or thermal motion is included.

Peak list (10 most intense, 2θ = 15–90°, by angle)
index  2θ/deg  intensity
0 0 2  20.13  473
2 0 -2  25.41  1000
0 1 1  26.56  622
1 0 2  27.84  313
1 1 1  31.24  430
2 1 -1  34.08  818
1 1 -3  37.45  345
1 0 -4  37.57  297
2 1 1  39.90  409
4 1 -3  55.34  278

Structural model:
```
data_TlCuReS3
_symmetry_space_group_name_H-M 'P 1 21/m 1'
_symmetry_Int_Tables_number 11
_symmetry_space_group_name_Hall '-P 2yb'
_cell_length_a 7.640
_cell_length_b 3.628
_cell_length_c 9.614
_cell_angle_alpha 90.00
_cell_angle_beta 113.39
_cell_angle_gamma 90.00
loop_
_atom_site_label
_atom_site_fract_x
_atom_site_fract_y
_atom_site_fract_z
Tl1 0.222 0.250 0.214
Cu1 0.427 0.250 0.888
Re1 0.193 0.750 0.669
S1 0.034 0.750 0.389
S2 0.254 0.750 0.930
S3 0.388 0.250 0.644
```

***

No. 9
Computed X-ray diffraction stick pattern
Compound: LaGdSi2Au2
Radiation: Cu Kα
Structure: a GGA-PBE-relaxed structure
No peak broadening, texture or thermal motion is included.

Peak list (10 most intense, 2θ = 15–90°, by angle)
index  2θ/deg  intensity
1 0 1  25.99  553
0 1 2  32.49  1000
1 1 0  41.25  722
0 0 4  45.21  117
0 2 1  49.39  103
2 0 2  53.45  246
1 1 4  62.84  310
2 1 1  66.24  87
1 2 2  69.66  223
3 0 0  75.18  157

Structural model:
```
data_LaGdSi2Au2
_symmetry_space_group_name_H-M 'P 3 m 1'
_symmetry_Int_Tables_number 156
_symmetry_space_group_name_Hall 'P 3 -2"'
_cell_length_a 4.3788
_cell_length_b 4.3788
_cell_length_c 8.0233
_cell_angle_alpha 90.00
_cell_angle_beta 90.00
_cell_angle_gamma 120.00
loop_
_atom_site_label
_atom_site_fract_x
_atom_site_fract_y
_atom_site_fract_z
La1 0.0000 0.0000 0.0000
Gd1 0.0000 0.0000 0.4957
Si1 0.3333 0.6667 0.2357
Si2 0.6667 0.3333 0.7168
Au1 0.3333 0.6667 0.7400
Au2 0.6667 0.3333 0.2782
```

***

No. 10
Computed X-ray diffraction stick pattern
Compound: Pr2BiSbPt2
Radiation: Cu Kα
Structure: a GGA-PBE-relaxed structure
No peak broadening, texture or thermal motion is included.

Peak list (10 most intense, 2θ = 15–90°, by angle)
index  2θ/deg  intensity
1 1 1  22.48  357
2 0 2  26.01  68
0 2 0  37.11  1000
3 2 -1  43.82  188
4 2 -4  53.50  175
1 3 1  58.74  80
4 3 0  66.90  358
5 3 -3  71.56  59
0 4 0  79.06  113
3 4 -1  83.47  59

Structural model:
```
data_Pr2BiSbPt2
_symmetry_space_group_name_H-M 'P 1 m 1'
_symmetry_Int_Tables_number 6
_symmetry_space_group_name_Hall 'P -2y'
_cell_length_a 11.867
_cell_length_b 4.844
_cell_length_c 11.869
_cell_angle_alpha 90.00
_cell_angle_beta 109.47
_cell_angle_gamma 90.00
loop_
_atom_site_label
_atom_site_fract_x
_atom_site_fract_y
_atom_site_fract_z
Pr1 0.000 0.000 0.000
Pr2 0.120 0.500 0.369
Pr3 0.247 0.000 0.746
Pr4 0.372 0.500 0.125
Pr5 0.498 0.000 0.496
Pr6 0.623 0.500 0.873
Pr7 0.745 0.000 0.247
Pr8 0.875 0.500 0.623
Bi1 0.372 0.500 0.621
Bi2 0.497 0.000 0.997
Bi3 0.749 0.000 0.748
Bi4 0.997 0.000 0.496
Sb1 0.123 0.500 0.873
Sb2 0.248 0.000 0.248
Sb3 0.623 0.500 0.373
Sb4 0.871 0.500 0.122
Pt1 0.003 0.000 0.753
Pt2 0.123 0.500 0.122
Pt3 0.246 0.000 0.490
Pt4 0.367 0.500 0.873
Pt5 0.496 0.000 0.251
Pt6 0.624 0.500 0.618
Pt7 0.752 0.000 0.002
Pt8 0.866 0.500 0.367
```

***

No. 11
Computed X-ray diffraction stick pattern
Compound: ZnHgSe3S3Cl15
Radiation: Cu Kα
Structure: a GGA-PBE-relaxed structure
No peak broadening, texture or thermal motion is included.

Peak list (10 most intense, 2θ = 15–90°, by angle)
index  2θ/deg  intensity
3 1 -1  17.19  398
1 1 2  17.46  205
0 2 2  21.59  1000
4 2 0  23.69  233
1 3 1  24.87  435
5 1 1  24.96  208
1 3 -2  28.13  422
5 1 2  28.25  219
3 3 -2  30.94  325
6 2 -2  34.74  224

Structural model:
```
data_ZnHgSe3S3Cl15
_symmetry_space_group_name_H-M 'C 1 c 1'
_symmetry_Int_Tables_number 9
_symmetry_space_group_name_Hall 'C -2yc'
_cell_length_a 19.800
_cell_length_b 11.493
_cell_length_c 11.828
_cell_angle_alpha 90.00
_cell_angle_beta 90.29
_cell_angle_gamma 90.00
loop_
_atom_site_label
_atom_site_fract_x
_atom_site_fract_y
_atom_site_fract_z
Zn1 0.000 0.005 0.000
Hg1 0.333 0.007 0.503
Se1 0.021 0.339 0.810
Se2 0.161 0.209 0.309
Se3 0.315 0.365 0.814
S1 0.088 0.385 0.932
S2 0.149 0.330 0.434
S3 0.260 0.445 0.937
Cl1 0.050 0.157 0.748
Cl2 0.051 0.435 0.648
Cl3 0.056 0.163 0.244
Cl4 0.113 0.008 0.987
Cl5 0.192 0.048 0.660
Cl6 0.194 0.306 0.150
Cl7 0.246 0.093 0.806
Cl8 0.248 0.357 0.655
Cl9 0.330 0.173 0.295
Cl10 0.380 0.237 0.152
Cl11 0.388 0.500 0.245
Cl12 0.427 0.086 0.811
Cl13 0.428 0.186 0.664
Cl14 0.438 0.333 0.489
Cl15 0.448 0.333 0.984
```

***

No. 12
Computed X-ray diffraction stick pattern
Compound: KZn2Cd2AsP2
Radiation: Cu Kα
Structure: a GGA-PBE-relaxed structure
No peak broadening, texture or thermal motion is included.

Peak list (10 most intense, 2θ = 15–90°, by angle)
index  2θ/deg  intensity
1 0 1  23.71  544
0 1 5  26.95  864
0 0 12  31.24  160
1 0 10  35.33  780
1 1 0  41.43  1000
1 0 13  41.72  479
1 1 12  52.79  204
0 2 10  55.55  201
2 1 10  71.62  180
3 0 0  75.57  157

Structural model:
```
data_KZn2Cd2AsP2
_symmetry_space_group_name_H-M 'R -3 m'
_symmetry_Int_Tables_number 166
_symmetry_space_group_name_Hall '-R 3 2"'
_cell_length_a 4.3587
_cell_length_b 4.3587
_cell_length_c 34.3574
_cell_angle_alpha 90.00
_cell_angle_beta 90.00
_cell_angle_gamma 120.00
loop_
_atom_site_label
_atom_site_fract_x
_atom_site_fract_y
_atom_site_fract_z
K1 0.0000 0.0000 0.0000
Zn1 0.0000 0.0000 0.1977
Cd1 0.0000 0.0000 0.4131
As1 0.0000 0.0000 0.5000
P1 0.0000 0.0000 0.2672
```